Calculated X-ray diffraction stick pattern of Pm6Al2Ag for Cu Ka, from a PBE-relaxed structure.

Main lines, by angle (10 to 90 degrees two-theta):
hkl	2theta	d [Å]	I/Imax
0 2 0	24.0	3.706	30
2 0 1	24.7	3.610	56
2 2 1	34.7	2.586	100
6 0 0	34.9	2.568	25
2 0 -2	35.4	2.538	24
6 2 0	42.8	2.111	13
2 2 -2	43.2	2.094	13
2 4 1	55.8	1.648	12
8 2 1	62.5	1.486	18
0 2 3	63.1	1.474	18

Crystal structure
Lattice parameters (Å, degrees): 16.210 7.412 5.076 90.00 108.11 90.00
Space group C2/m (No. 12)
Symmetry-distinct sites (fractional):
1 Pm 0.000 0.247 0.000 [4 per cell]
2 Pm 0.167 0.251 0.667 [8 per cell]
3 Al 0.167 0.000 0.167 [4 per cell]
4 Ag 0.000 0.500 0.500 [2 per cell]

=====

Calculated X-ray diffraction stick pattern of Pm3TlGa for Cu Ka, from a PBE-relaxed structure.

Main lines, by angle (10 to 90 degrees two-theta):
hkl	2theta	d [Å]	I/Imax
5 1 1	30.3	2.946	40
1 3 -1	31.3	2.862	50
4 0 -2	33.1	2.710	74
2 2 2	33.5	2.676	100
6 2 0	36.4	2.469	78
0 4 0	37.6	2.395	17
4 4 0	43.1	2.097	20
0 0 4	52.6	1.739	17
8 4 2	63.9	1.457	20
6 2 4	65.7	1.422	22

Crystal structure
Lattice parameters (Å, degrees): 17.288 9.579 6.956 90.00 90.01 90.00
Space group C2/c (No. 15)
Symmetry-distinct sites (fractional):
1 Pm 0.078 0.244 0.000 [8 per cell]
2 Pm 0.147 0.105 0.500 [8 per cell]
3 Pm 0.169 0.471 0.500 [8 per cell]
4 Tl 0.000 0.000 0.250 [4 per cell]
5 Tl 0.000 0.500 0.250 [4 per cell]
6 Ga 0.250 0.250 0.190 [8 per cell]

=====

Calculated X-ray diffraction stick pattern of ScAlAu3 for Cu Ka, from a PBE-relaxed structure.

Main lines, by angle (10 to 90 degrees two-theta):
hkl	2theta	d [Å]	I/Imax
1 1 1	26.2	3.401	44
1 1 0	26.4	3.372	24
1 -1 1	26.5	3.359	24
0 2 0	36.4	2.466	75
2 0 1	36.7	2.449	63
1 1 3	39.5	2.279	100
1 1 -2	40.5	2.230	47
1 -1 3	40.6	2.224	46
2 2 1	52.6	1.740	27
2 -2 1	52.8	1.735	26

Crystal structure
Lattice parameters (Å, degrees): 4.898 4.935 7.790 88.13 71.75 89.79
Space group P-1 (No. 2)
Symmetry-distinct sites (fractional):
1 Sc 0.148 0.268 0.202 [2 per cell]
2 Al 0.360 0.253 0.782 [2 per cell]
3 Au 0.054 0.757 0.392 [2 per cell]
4 Au 0.251 0.783 0.999 [2 per cell]
5 Au 0.448 0.747 0.605 [2 per cell]